(1)
For TiCrCo4, DFT lattice parameters and positions (PBE) gives the computed powder diffractogram in this record (Cu Ka).
Kinematic intensities with the Lorentz-polarization factor, no thermal factor.

Cell and atoms:
a b c (Å): 6.0001 15.6153 4.1467
angles (deg): 90.00 133.60 90.00
Space group C2/m (No. 12)
One atom of each set of equivalent atoms:
Ti 0.2242 0.0000 0.4741
Cr 0.2500 0.2500 0.0000
Co 0.1886 0.4098 0.9385
Co 0.1928 0.1694 0.4432

Most intense lines, 10 to 90 degrees two-theta, in order of falling intensity:
46.18 deg, rel. 100, (0 6 1)
43.66 deg, rel. 34, (2 0 -2)
41.57 deg, rel. 26, (2 0 0)
81.99 deg, rel. 16, (2 6 -3)
47.61 deg, rel. 14, (1 1 1)
61.79 deg, rel. 7, (0 0 2)
61.93 deg, rel. 7, (4 0 -2)
88.77 deg, rel. 7, (2 12 -2)


(2)
For Er7Tm3Sc, DFT lattice parameters and positions (PBE) gives the computed powder diffractogram in this record (Cu Ka).
Kinematic intensities with the Lorentz-polarization factor, no thermal factor.

Cell and atoms:
a b c (Å): 6.6895 5.3682 9.7109
angles (deg): 90.00 104.45 90.00
Space group P2/m (No. 10)
One atom of each set of equivalent atoms:
Er 0.0000 0.0000 0.0000
Er 0.1639 0.5000 0.2851
Er 0.3133 0.5000 0.6251
Er 0.4606 0.0000 0.8274
Tm 0.0000 0.0000 0.5000
Tm 0.2674 0.5000 0.9787
Sc 0.5000 0.0000 0.5000

Most intense lines, 10 to 90 degrees two-theta, in order of falling intensity:
33.05 deg, rel. 100, (0 1 3)
32.28 deg, rel. 93, (2 1 0)
33.38 deg, rel. 65, (0 2 0)
31.00 deg, rel. 37, (1 1 2)
33.84 deg, rel. 32, (2 1 -2)
26.34 deg, rel. 20, (1 1 -2)
58.96 deg, rel. 20, (2 3 0)
59.46 deg, rel. 19, (0 3 3)


(3)
For Ac5Pr2NdY, DFT lattice parameters and positions (PBE) gives the computed powder diffractogram in this record (Cu Ka).
Kinematic intensities with the Lorentz-polarization factor, no thermal factor.

Cell and atoms:
a b c (Å): 5.8923 22.7137 11.1343
angles (deg): 90.00 90.00 90.00
Space group Cmcm (No. 63)
One atom of each set of equivalent atoms:
Ac 0.0000 0.0000 0.0000
Ac 0.0000 0.1302 0.2500
Ac 0.0000 0.2189 0.5640
Ac 0.0000 0.4968 0.2500
Pr 0.0000 0.3866 0.5096
Nd 0.0000 0.3040 0.2500
Y 0.0000 0.0987 0.7500

Most intense lines, 10 to 90 degrees two-theta, in order of falling intensity:
29.56 deg, rel. 100, (1 5 2)
30.34 deg, rel. 36, (2 0 0)
28.70 deg, rel. 32, (1 1 3)
24.95 deg, rel. 22, (1 3 2)
53.42 deg, rel. 20, (3 5 2)
32.16 deg, rel. 16, (0 0 4)
24.82 deg, rel. 14, (0 6 1)
39.64 deg, rel. 13, (0 10 0)


(4)
For AcPm12Ho7, DFT lattice parameters and positions (PBE) gives the computed powder diffractogram in this record (Cu Ka).
Kinematic intensities with the Lorentz-polarization factor, no thermal factor.

Cell and atoms:
a b c (Å): 12.3255 12.3255 15.6047
angles (deg): 90.00 90.00 120.00
Space group R-3 (No. 148, hexagonal axes)
One atom of each set of equivalent atoms:
Ac 0.0000 0.0000 0.0000
Pm 0.0095 0.4364 0.7114
Pm 0.0535 0.5915 0.0879
Ho 0.0000 0.0000 0.5000
Ho 0.0465 0.1870 0.7992

Most intense lines, 10 to 90 degrees two-theta, in order of falling intensity:
30.74 deg, rel. 100, (4 -3 1)
32.34 deg, rel. 61, (3 1 2)
31.91 deg, rel. 51, (3 -1 4)
53.59 deg, rel. 33, (2 5 0)
29.83 deg, rel. 30, (0 1 5)
30.44 deg, rel. 27, (0 3 3)
33.25 deg, rel. 21, (2 0 5)
52.76 deg, rel. 15, (1 4 6)